Record 1
# Tb3TeO6
Simulated powder X-ray diffraction pattern, λ = 1.5418 Å (Cu Kα). Input: a PBE-relaxed structure.
Neutral-atom scattering factors, no anomalous dispersion.

Principal peaks in the range 2θ from 10° to 90°, by angle:
24.16 deg, rel. 30; 26.22 deg, rel. 29; 28.57 deg, rel. 100; 30.18 deg, rel. 38; 31.89 deg, rel. 68; 42.92 deg, rel. 24; 48.40 deg, rel. 36; 53.01 deg, rel. 19

Structural model:
Lattice parameters (Å, degrees): 6.8256 6.8256 6.8256 93.61 93.61 93.61
Fractional coordinates of all 20 atoms:
1 Tb 0.0485 0.5648 0.7509
2 Tb 0.2491 0.9515 0.4352
3 Tb 0.4352 0.2491 0.9515
4 Tb 0.5648 0.7509 0.0485
5 Tb 0.7509 0.0485 0.5648
6 Tb 0.9515 0.4352 0.2491
7 Te 0.0000 0.0000 0.0000
8 Te 0.5000 0.5000 0.5000
9 O 0.0272 0.9078 0.6907
10 O 0.0922 0.3093 0.9728
11 O 0.1687 0.6289 0.4469
12 O 0.3093 0.9728 0.0922
13 O 0.3711 0.5531 0.8313
14 O 0.4469 0.1687 0.6289
15 O 0.5531 0.8313 0.3711
16 O 0.6289 0.4469 0.1687
17 O 0.6907 0.0272 0.9078
18 O 0.8313 0.3711 0.5531
19 O 0.9078 0.6907 0.0272
20 O 0.9728 0.0922 0.3093

Record 2
# TbTeO4
Simulated powder X-ray diffraction pattern, λ = 1.5418 Å (Cu Kα). Input: a PBE-relaxed structure.
Neutral-atom scattering factors, no anomalous dispersion.

Principal peaks in the range 2θ from 10° to 90°, by angle:
22.82 deg, rel. 23; 28.05 deg, rel. 100; 32.51 deg, rel. 16; 34.67 deg, rel. 17; 48.04 deg, rel. 17; 49.62 deg, rel. 19; 55.31 deg, rel. 16; 57.77 deg, rel. 14

Structural model:
Lattice parameters (Å, degrees): 5.5075 5.2180 5.8617 90.00 90.00 90.00
Fractional coordinates of all 12 atoms:
1 Tb 0.0000 0.0000 0.0000
2 Tb 0.0000 0.5000 0.5000
3 Te 0.5000 0.0000 0.3593
4 Te 0.5000 0.5000 0.8593
5 O 0.1904 0.1928 0.3105
6 O 0.1904 0.3072 0.8105
7 O 0.3450 0.7411 0.6143
8 O 0.3450 0.7589 0.1143
9 O 0.6550 0.2411 0.1143
10 O 0.6550 0.2589 0.6143
11 O 0.8096 0.6928 0.8105
12 O 0.8096 0.8072 0.3105

Record 3
# TbTl2TeO8
Simulated powder X-ray diffraction pattern, λ = 1.5418 Å (Cu Kα). Input: a PBE-relaxed structure.
Neutral-atom scattering factors, no anomalous dispersion.

Principal peaks in the range 2θ from 10° to 90°, by angle:
24.65 deg, rel. 58; 25.12 deg, rel. 53; 31.50 deg, rel. 100; 35.48 deg, rel. 31; 47.90 deg, rel. 40; 48.43 deg, rel. 37; 61.23 deg, rel. 22; 65.75 deg, rel. 12

Structural model:
Lattice parameters (Å, degrees): 5.0607 5.0607 6.8642 90.00 90.00 91.05
Fractional coordinates of all 12 atoms:
1 Tb 0.0000 0.0000 0.0000
2 Tl 0.5000 0.5000 0.2539
3 Tl 0.5000 0.5000 0.7461
4 Te 0.0000 0.0000 0.5000
5 O 0.1780 0.8220 0.2864
6 O 0.1780 0.8220 0.7136
7 O 0.2807 0.2807 0.5000
8 O 0.3088 0.3088 0.0000
9 O 0.6912 0.6912 0.0000
10 O 0.7193 0.7193 0.5000
11 O 0.8220 0.1780 0.2864
12 O 0.8220 0.1780 0.7136

Record 4
# Tb10Ti6O27
Simulated powder X-ray diffraction pattern, λ = 1.5418 Å (Cu Kα). Input: a PBE-relaxed structure.
Neutral-atom scattering factors, no anomalous dispersion.

Principal peaks in the range 2θ from 10° to 90°, by angle:
29.35 deg, rel. 54; 29.76 deg, rel. 100; 30.33 deg, rel. 46; 34.02 deg, rel. 21; 34.82 deg, rel. 43; 48.82 deg, rel. 28; 49.95 deg, rel. 17; 50.13 deg, rel. 38

Structural model:
Lattice parameters (Å, degrees): 7.4640 7.4640 12.6084 108.04 108.04 58.58
Fractional coordinates of all 43 atoms:
1 Tb 0.0000 0.0000 0.0000
2 Tb 0.0029 0.0029 0.5049
3 Tb 0.2289 0.2289 0.2708
4 Tb 0.2316 0.7393 0.2482
5 Tb 0.2546 0.7630 0.7714
6 Tb 0.4650 0.4650 0.5118
7 Tb 0.7329 0.7329 0.7358
8 Tb 0.7393 0.2316 0.2482
9 Tb 0.7390 0.7390 0.2274
10 Tb 0.7630 0.2546 0.7714
11 Ti 0.0024 0.4911 0.0088
12 Ti 0.2309 0.2309 0.7456
13 Ti 0.4842 0.4842 0.9957
14 Ti 0.4911 0.0024 0.0088
15 Ti 0.5065 0.9793 0.4998
16 Ti 0.9793 0.5065 0.4998
17 O 0.0407 0.4054 0.6408
18 O 0.0537 0.0537 0.1884
19 O 0.0710 0.0710 0.7065
20 O 0.0888 0.5076 0.1846
21 O 0.1080 0.6829 0.5601
22 O 0.1604 0.6274 0.0272
23 O 0.1799 0.1799 0.0021
24 O 0.2721 0.2721 0.4641
25 O 0.3150 0.7578 0.4368
26 O 0.3623 0.7641 0.9651
27 O 0.3876 0.3876 0.8305
28 O 0.4054 0.0407 0.6408
29 O 0.4568 0.9480 0.8433
30 O 0.4825 0.9066 0.3407
31 O 0.5076 0.0888 0.1846
32 O 0.5417 0.5417 0.1600
33 O 0.5472 0.5472 0.6919
34 O 0.6274 0.1604 0.0272
35 O 0.6829 0.1080 0.5601
36 O 0.7190 0.7190 0.5504
37 O 0.7486 0.7486 0.0448
38 O 0.7578 0.3150 0.4368
39 O 0.7641 0.3623 0.9651
40 O 0.9066 0.4825 0.3407
41 O 0.9154 0.9154 0.8129
42 O 0.9185 0.9185 0.3143
43 O 0.9480 0.4568 0.8433

Record 5
# Tb5Ti5O17
Simulated powder X-ray diffraction pattern, λ = 1.5418 Å (Cu Kα). Input: a PBE-relaxed structure.
Neutral-atom scattering factors, no anomalous dispersion.

Principal peaks in the range 2θ from 10° to 90°, by angle:
21.45 deg, rel. 42; 28.30 deg, rel. 37; 28.48 deg, rel. 23; 30.56 deg, rel. 100; 33.16 deg, rel. 32; 33.73 deg, rel. 23; 34.64 deg, rel. 33; 47.29 deg, rel. 31

Structural model:
Lattice parameters (Å, degrees): 3.8445 5.4930 31.5368 90.00 90.00 90.00
Fractional coordinates of all 54 atoms:
1 Tb 0.0000 0.1579 0.0000
2 Tb 0.0000 0.2080 0.2188
3 Tb 0.0000 0.3423 0.4424
4 Tb 0.0000 0.6727 0.3186
5 Tb 0.0000 0.8275 0.1244
6 Tb 0.5000 0.1725 0.6244
7 Tb 0.5000 0.3273 0.8186
8 Tb 0.5000 0.6577 0.9424
9 Tb 0.5000 0.7920 0.7188
10 Tb 0.5000 0.8421 0.5000
11 Ti 0.0000 0.2171 0.8970
12 Ti 0.0000 0.2636 0.7210
13 Ti 0.0000 0.2816 0.5452
14 Ti 0.0000 0.7286 0.6316
15 Ti 0.0000 0.7709 0.8090
16 Ti 0.5000 0.2291 0.3090
17 Ti 0.5000 0.2714 0.1316
18 Ti 0.5000 0.7184 0.0452
19 Ti 0.5000 0.7364 0.2210
20 Ti 0.5000 0.7829 0.3970
21 O 0.0000 0.0563 0.6674
22 O 0.0000 0.0618 0.4954
23 O 0.0000 0.0668 0.8392
24 O 0.0000 0.2487 0.1417
25 O 0.0000 0.2609 0.2984
26 O 0.0000 0.4207 0.7747
27 O 0.0000 0.4221 0.6037
28 O 0.0000 0.4377 0.9470
29 O 0.0000 0.5438 0.8538
30 O 0.0000 0.5543 0.5105
31 O 0.0000 0.5676 0.6916
32 O 0.0000 0.7145 0.3920
33 O 0.0000 0.7739 0.2180
34 O 0.0000 0.7858 0.0506
35 O 0.0000 0.9324 0.7515
36 O 0.0000 0.9445 0.9319
37 O 0.0000 0.9478 0.5869
38 O 0.5000 0.0522 0.0869
39 O 0.5000 0.0555 0.4319
40 O 0.5000 0.0676 0.2515
41 O 0.5000 0.2142 0.5506
42 O 0.5000 0.2261 0.7180
43 O 0.5000 0.2855 0.8920
44 O 0.5000 0.4324 0.1916
45 O 0.5000 0.4457 0.0105
46 O 0.5000 0.4562 0.3538
47 O 0.5000 0.5623 0.4470
48 O 0.5000 0.5779 0.1037
49 O 0.5000 0.5793 0.2747
50 O 0.5000 0.7391 0.7984
51 O 0.5000 0.7513 0.6417
52 O 0.5000 0.9332 0.3392
53 O 0.5000 0.9382 0.9954
54 O 0.5000 0.9437 0.1674

Record 6
# TbUTi2O8
Simulated powder X-ray diffraction pattern, λ = 1.5418 Å (Cu Kα). Input: a PBE-relaxed structure.
Neutral-atom scattering factors, no anomalous dispersion.

Principal peaks in the range 2θ from 10° to 90°, by angle:
19.02 deg, rel. 51; 29.41 deg, rel. 100; 34.83 deg, rel. 20; 39.99 deg, rel. 19; 48.42 deg, rel. 31; 50.09 deg, rel. 15; 56.17 deg, rel. 16; 59.15 deg, rel. 28

Structural model:
Lattice parameters (Å, degrees): 6.5966 6.5966 6.5966 134.04 134.04 67.03
Fractional coordinates of all 12 atoms:
1 Tb 0.0000 0.0000 0.0000
2 U 0.2500 0.7500 0.5000
3 Ti 0.5000 0.5000 0.0000
4 Ti 0.7500 0.2500 0.5000
5 O 0.0107 0.0699 0.4178
6 O 0.2433 0.6686 0.0891
7 O 0.3314 0.4205 0.5747
8 O 0.4071 0.9893 0.0593
9 O 0.5795 0.1542 0.9109
10 O 0.6522 0.5929 0.5822
11 O 0.8458 0.7567 0.4253
12 O 0.9301 0.3478 0.9407

Record 7
# Tb6Tl2O
Simulated powder X-ray diffraction pattern, λ = 1.5418 Å (Cu Kα). Input: a PBE-relaxed structure.
Neutral-atom scattering factors, no anomalous dispersion.

Principal peaks in the range 2θ from 10° to 90°, by angle:
31.80 deg, rel. 100; 36.88 deg, rel. 53; 53.15 deg, rel. 37; 63.28 deg, rel. 42; 66.44 deg, rel. 13; 78.43 deg, rel. 4; 87.16 deg, rel. 18; 89.96 deg, rel. 6

Structural model:
Lattice parameters (Å, degrees): 6.8913 6.8913 6.8913 119.94 119.94 90.10
Fractional coordinates of all 9 atoms:
1 Tb 0.2472 0.2472 0.0000
2 Tb 0.2467 0.2467 0.4934
3 Tb 0.2467 0.7533 0.0000
4 Tb 0.7533 0.2467 0.0000
5 Tb 0.7528 0.7528 0.0000
6 Tb 0.7533 0.7533 0.5066
7 Tl 0.2500 0.7500 0.5000
8 Tl 0.7500 0.2500 0.5000
9 O 0.0000 0.0000 0.0000

Record 8
# Tb5Tl2O2
Simulated powder X-ray diffraction pattern, λ = 1.5418 Å (Cu Kα). Input: a PBE-relaxed structure.
Neutral-atom scattering factors, no anomalous dispersion.

Principal peaks in the range 2θ from 10° to 90°, by angle:
27.13 deg, rel. 14; 32.36 deg, rel. 80; 32.56 deg, rel. 100; 37.25 deg, rel. 64; 38.46 deg, rel. 31; 54.62 deg, rel. 37; 63.98 deg, rel. 13; 64.35 deg, rel. 23

Structural model:
Lattice parameters (Å, degrees): 10.5343 10.5343 10.5343 142.37 54.56 141.99
Fractional coordinates of all 18 atoms:
1 Tb 0.0000 0.0000 0.5000
2 Tb 0.0000 0.5000 0.0000
3 Tb 0.2015 0.0644 0.1370
4 Tb 0.2401 0.0000 0.7401
5 Tb 0.2401 0.5000 0.2401
6 Tb 0.4274 0.0644 0.3630
7 Tb 0.5726 0.9356 0.6370
8 Tb 0.7599 0.0000 0.2599
9 Tb 0.7599 0.5000 0.7599
10 Tb 0.7985 0.9356 0.8630
11 Tl 0.1090 0.4827 0.6263
12 Tl 0.3564 0.4827 0.8737
13 Tl 0.6436 0.5173 0.1263
14 Tl 0.8910 0.5173 0.3737
15 O 0.0000 0.0000 0.0000
16 O 0.2214 0.9714 0.2500
17 O 0.5000 0.0000 0.5000
18 O 0.7786 0.0286 0.7500

Record 9
# Tb4Tl2O
Simulated powder X-ray diffraction pattern, λ = 1.5418 Å (Cu Kα). Input: a PBE-relaxed structure.
Neutral-atom scattering factors, no anomalous dispersion.

Principal peaks in the range 2θ from 10° to 90°, by angle:
29.57 deg, rel. 56; 29.67 deg, rel. 94; 29.82 deg, rel. 81; 32.34 deg, rel. 44; 32.45 deg, rel. 39; 33.44 deg, rel. 100; 33.48 deg, rel. 83; 39.74 deg, rel. 54

Structural model:
Lattice parameters (Å, degrees): 6.4582 6.8962 9.0754 90.00 110.38 90.00
Fractional coordinates of all 14 atoms:
1 Tb 0.0336 0.0019 0.2764
2 Tb 0.0336 0.4981 0.2764
3 Tb 0.3715 0.7500 0.0530
4 Tb 0.4231 0.7500 0.6484
5 Tb 0.5769 0.2500 0.3516
6 Tb 0.6285 0.2500 0.9470
7 Tb 0.9664 0.5019 0.7236
8 Tb 0.9664 0.9981 0.7236
9 Tl 0.1943 0.2500 0.0276
10 Tl 0.3086 0.2500 0.5870
11 Tl 0.6914 0.7500 0.4130
12 Tl 0.8057 0.7500 0.9724
13 O 0.2044 0.7500 0.7934
14 O 0.7956 0.2500 0.2066

Record 10
# Tb3TlO6
Simulated powder X-ray diffraction pattern, λ = 1.5418 Å (Cu Kα). Input: a PBE-relaxed structure.
Neutral-atom scattering factors, no anomalous dispersion.

Principal peaks in the range 2θ from 10° to 90°, by angle:
23.49 deg, rel. 36; 26.32 deg, rel. 47; 29.09 deg, rel. 92; 29.89 deg, rel. 38; 32.19 deg, rel. 100; 42.63 deg, rel. 37; 49.52 deg, rel. 42; 51.80 deg, rel. 25

Structural model:
Lattice parameters (Å, degrees): 6.7801 6.7801 6.7801 91.83 91.83 91.83
Fractional coordinates of all 20 atoms:
1 Tb 0.0577 0.7523 0.5671
2 Tb 0.2477 0.4329 0.9423
3 Tb 0.4329 0.9423 0.2477
4 Tb 0.5671 0.0577 0.7523
5 Tb 0.7523 0.5671 0.0577
6 Tb 0.9423 0.2477 0.4329
7 Tl 0.0000 0.0000 0.0000
8 Tl 0.5000 0.5000 0.5000
9 O 0.0274 0.6791 0.8962
10 O 0.1038 0.9726 0.3209
11 O 0.1808 0.4286 0.5988
12 O 0.3209 0.1038 0.9726
13 O 0.4012 0.8192 0.5714
14 O 0.4286 0.5988 0.1808
15 O 0.5714 0.4012 0.8192
16 O 0.5988 0.1808 0.4286
17 O 0.6791 0.8962 0.0274
18 O 0.8192 0.5714 0.4012
19 O 0.8962 0.0274 0.6791
20 O 0.9726 0.3209 0.1038